CeB2H8: theoretical powder diffraction line list (λ = 1.5418 Å (Cu Kα)), based on a crystal structure in Alexandria, relaxed with PBE.
No peak broadening, texture or thermal motion is included.

Cell and atoms:
abc: 4.3834 4.3834 16.2720
angles: 90.00 90.00 120.00
Space group R-3m (No. 166, hexagonal axes)
Asymmetric unit:
Ce1 0.0000 0.0000 0.0000 (multiplicity 3)
B1 0.0000 0.0000 0.2347 (multiplicity 6)
H1 0.0000 0.0000 0.1597 (multiplicity 6)
H2 0.0224 0.5112 0.9255 (multiplicity 18)

Top 12 peaks for 2θ = 10–90°, most intense first:
| h k l | 2theta | intensity |
| --- | --- | --- |
| 1 0 1 | 24.07 | 1000 |
| 0 0 3 | 16.34 | 726 |
| 0 1 2 | 25.90 | 577 |
| 1 0 4 | 32.25 | 574 |
| 0 1 5 | 36.36 | 385 |
| 1 1 3 | 44.59 | 344 |
| 1 1 0 | 41.19 | 293 |
| 1 1 6 | 53.78 | 194 |
| 0 2 1 | 48.27 | 168 |
| 1 0 7 | 45.77 | 163 |
| 0 1 8 | 50.93 | 150 |
| 0 2 4 | 53.26 | 129 |